NdP: computed PXRD pattern (Cu Kα (weighted mean of Kα1 and Kα2)), based on the GGA-PBE geometry in the Materials Project.

Most intense lines, 2θ = 5–70°, by angle:
hkl 1 1 1, 26.18 deg, 3.403 Å, rel. 79; hkl 2 0 0, 30.33 deg, 2.947 Å, rel. 100; hkl 2 2 0, 43.42 deg, 2.084 Å, rel. 74; hkl 3 1 1, 51.41 deg, 1.777 Å, rel. 39; hkl 2 2 2, 53.88 deg, 1.702 Å, rel. 26; hkl 3 3 1, 69.51 deg, 1.352 Å, rel. 16

```
NdP
1.0
5.8947 0.0000 0.0000
0.0000 5.8947 0.0000
0.0000 0.0000 5.8947
Nd P
4 4
Cartesian
0.0000 0.0000 0.0000
0.0000 2.9474 2.9474
2.9474 0.0000 2.9474
2.9474 2.9474 0.0000
0.0000 0.0000 2.9474
0.0000 2.9474 0.0000
2.9474 0.0000 0.0000
2.9474 2.9474 2.9474
```